Calculated powder XRD pattern
Compound: NaAc2MnO5
Radiation: Cu Kα (weighted mean of Kα1 and Kα2)
Structure: the PBE+U geometry in Alexandria

The 8 most intense peaks (2θ from 10° to 90°), by angle:
d 5.910, rel. 100, hkl 0 0 1; d 3.192, rel. 44, hkl 2 1 0; d 3.055, rel. 77, hkl 2 0 1; d 2.955, rel. 32, hkl 0 0 2; d 2.808, rel. 95, hkl 2 1 1; d 2.168, rel. 59, hkl 2 1 2; d 1.661, rel. 34, hkl 4 1 1; d 1.494, rel. 25, hkl 4 1 2

Cell and atoms:
Lattice parameters (Å, degrees): 7.137 7.137 5.910 90.00 90.00 90.00
Space group P4/mbm (No. 127)
One atom of each set of equivalent atoms:
Na1 0.000 0.000 0.000 [2 per cell]
Ac1 0.182 0.318 0.500 [4 per cell]
Mn1 0.000 0.500 0.000 [2 per cell]
O1 0.000 0.000 0.500 [2 per cell]
O2 0.130 0.630 0.235 [8 per cell]